No. 1
Structure and computed powder diffraction line list of UTe5 (a crystal structure in the Materials Project, relaxed with GGA-PBE; Cu Ka).
No peak broadening, texture or thermal motion is included.

Crystal structure
a b c (Å): 18.3829 4.2840 10.3121
angles (deg): 90.00 90.00 90.00
Space group Pna2_1 (No. 33)
Inequivalent atoms, fractional coordinates:
U 0.0904 0.1144 0.0000 x4
Te 0.0040 0.0224 0.7444 x4
Te 0.0362 0.3750 0.5000 x4
Te 0.1586 0.6130 0.1890 x4
Te 0.1654 0.6144 0.8207 x4
Te 0.2430 0.8392 0.5103 x4

Top 12 peaks for 2θ = 10–90°, by intensity:
Position (°2θ), intensity
12.90, 100
34.04, 70
30.81, 61
26.82, 58
36.60, 52
34.82, 43
28.78, 41
28.48, 34
37.11, 33
43.42, 30
33.43, 27
47.60, 21

---

No. 2
Structure and computed powder diffraction line list of U2Te5 (a crystal structure in the Materials Project, relaxed with GGA-PBE; Cu Ka).
No peak broadening, texture or thermal motion is included.

Crystal structure
a b c (Å): 34.6635 4.1827 6.1105
angles (deg): 90.00 95.08 90.00
Space group C2/m (No. 12)
Inequivalent atoms, fractional coordinates:
U 0.0553 0.0000 0.0275 x4
U 0.1495 0.5000 0.5811 x4
Te 0.9997 0.5000 0.2500 x4
Te 0.0822 0.0000 0.5423 x4
Te 0.1205 0.5000 0.0638 x4
Te 0.2002 0.0000 0.3600 x4
Te 0.2007 0.0000 0.8482 x4

Top 12 peaks for 2θ = 10–90°, by intensity:
Position (°2θ), intensity
27.97, 100
36.80, 47
32.03, 33
43.26, 24
35.89, 18
68.05, 17
54.83, 14
15.86, 14
39.76, 14
37.78, 13
29.35, 13
61.23, 13

---

No. 3
Structure and computed powder diffraction line list of U2Te3 (a crystal structure in the Materials Project, relaxed with GGA-PBE; Cu Ka).
No peak broadening, texture or thermal motion is included.

Crystal structure
a b c (Å): 9.2051 9.2051 27.7146
angles (deg): 90.00 90.00 90.00
Space group I-42d (No. 122)
Inequivalent atoms, fractional coordinates:
U 0.0000 0.0000 0.1680 x8
U 0.1217 0.2500 0.6250 x8
U 0.1268 0.2475 0.2918 x16
Te 0.0763 0.1739 0.3998 x16
Te 0.0785 0.1720 0.0676 x16
Te 0.0797 0.1743 0.7343 x16

Top 12 peaks for 2θ = 10–90°, by intensity:
Position (°2θ), intensity
36.48, 100
30.66, 85
30.71, 53
62.14, 30
23.64, 30
43.92, 22
46.20, 22
48.39, 18
65.68, 15
61.96, 15
50.52, 14
75.95, 11

---

No. 4
Structure and computed powder diffraction line list of U3Te5 (a crystal structure in the Materials Project, relaxed with GGA-PBE; Cu Ka).
No peak broadening, texture or thermal motion is included.

Crystal structure
a b c (Å): 16.2647 4.1287 14.0933
angles (deg): 90.00 90.00 90.00
Space group Pnma (No. 62)
Inequivalent atoms, fractional coordinates:
U 0.1197 0.2500 0.2498 x4
U 0.1266 0.7500 0.5903 x4
U 0.1394 0.2500 0.9308 x4
Te 0.0250 0.7500 0.3897 x4
Te 0.0671 0.7500 0.7974 x4
Te 0.0752 0.7500 0.0810 x4
Te 0.2152 0.2500 0.4538 x4
Te 0.2355 0.2500 0.7209 x4

Top 12 peaks for 2θ = 10–90°, by intensity:
Position (°2θ), intensity
38.33, 100
21.85, 81
30.86, 77
59.63, 59
30.02, 58
43.85, 50
33.90, 45
31.53, 43
37.43, 40
35.71, 38
35.26, 34
77.40, 24

---

No. 5
Structure and computed powder diffraction line list of UTe5 (a crystal structure in the Materials Project, relaxed with GGA-PBE; Cu Ka).
No peak broadening, texture or thermal motion is included.

Crystal structure
a b c (Å): 17.9502 10.5069 4.2665
angles (deg): 90.00 90.00 90.00
Space group Pnma (No. 62)
Inequivalent atoms, fractional coordinates:
U 0.0863 0.2500 0.1047 x4
Te 0.0000 0.0000 0.0000 x4
Te 0.0385 0.7500 0.3809 x4
Te 0.1602 0.0695 0.6127 x8
Te 0.2438 0.7500 0.8237 x4

Top 12 peaks for 2θ = 10–90°, by intensity:
Position (°2θ), intensity
12.97, 100
34.50, 71
27.03, 58
30.86, 56
28.73, 38
36.43, 33
28.87, 33
43.59, 32
37.71, 31
34.13, 30
36.93, 23
33.09, 22

---

No. 6
Structure and computed powder diffraction line list of YUTe6 (a crystal structure in the Materials Project, relaxed with GGA-PBE; Cu Ka).
No peak broadening, texture or thermal motion is included.

Crystal structure
a b c (Å): 4.3750 4.3706 25.5170
angles (deg): 90.00 90.00 90.00
Space group Amm2 (No. 38)
Inequivalent atoms, fractional coordinates:
Y 0.0000 0.0000 0.0000 x2
U 0.5000 0.0000 0.6652 x2
Te 0.0000 0.0000 0.1284 x2
Te 0.0000 0.0000 0.4049 x2
Te 0.0000 0.0000 0.7581 x2
Te 0.5000 0.0000 0.2581 x2
Te 0.5000 0.0000 0.5392 x2
Te 0.5000 0.0000 0.9045 x2

Top 12 peaks for 2θ = 10–90°, by intensity:
Position (°2θ), intensity
30.77, 100
33.90, 63
41.29, 56
27.97, 41
50.62, 31
29.09, 23
38.17, 22
68.78, 19
59.82, 19
34.81, 17
13.88, 17
31.97, 16

---

No. 7
Structure and computed powder diffraction line list of V9Te8 (a crystal structure in the Materials Project, relaxed with GGA-PBE; Cu Ka).
No peak broadening, texture or thermal motion is included.

Crystal structure
a b c (Å): 7.1013 7.2102 7.7288
angles (deg): 74.39 74.16 89.75
Space group P1 (No. 1)
Inequivalent atoms, fractional coordinates:
V 0.0000 0.0000 0.0000 x1
V 0.0041 0.0039 0.5547 x1
V 0.0662 0.7263 0.3255 x1
V 0.0743 0.7080 0.8319 x1
V 0.2257 0.0638 0.1975 x1
V 0.2524 0.0872 0.6943 x1
V 0.7810 0.9301 0.3497 x1
V 0.9294 0.2855 0.2210 x1
V 0.9427 0.2852 0.7193 x1
Te 0.2224 0.3583 0.8847 x1
Te 0.2241 0.3571 0.3753 x1
Te 0.3488 0.8129 0.4852 x1
Te 0.3501 0.8153 0.9832 x1
Te 0.6623 0.1844 0.0612 x1
Te 0.6672 0.1917 0.5655 x1
Te 0.7838 0.6481 0.1632 x1
Te 0.7902 0.6511 0.6721 x1

Top 12 peaks for 2θ = 10–90°, by intensity:
Position (°2θ), intensity
31.38, 100
30.57, 75
44.06, 68
46.07, 38
47.03, 37
40.31, 36
37.01, 36
29.81, 35
26.16, 30
42.83, 27
35.37, 27
28.32, 26

---

No. 8
Structure and computed powder diffraction line list of V3Te4 (a crystal structure in the Materials Project, relaxed with GGA-PBE; Cu Ka).
No peak broadening, texture or thermal motion is included.

Crystal structure
a b c (Å): 14.0334 3.9605 6.8744
angles (deg): 90.00 117.54 90.00
Space group C2/m (No. 12)
Inequivalent atoms, fractional coordinates:
V 0.0000 0.0000 0.0000 x2
V 0.2442 0.5000 0.7064 x4
Te 0.1112 0.0000 0.4525 x4
Te 0.1367 0.5000 0.9763 x4

Top 12 peaks for 2θ = 10–90°, by intensity:
Position (°2θ), intensity
29.53, 100
45.78, 82
29.93, 58
30.10, 53
38.79, 40
29.30, 39
39.40, 36
28.70, 26
55.80, 18
51.87, 16
54.99, 14
38.43, 13

---

No. 9
Structure and computed powder diffraction line list of Te2W (a crystal structure in the Materials Project, relaxed with GGA-PBE; Cu Ka).
No peak broadening, texture or thermal motion is included.

Crystal structure
a b c (Å): 3.4979 6.3383 15.4319
angles (deg): 90.00 90.00 90.00
Space group Pmn2_1 (No. 31)
Inequivalent atoms, fractional coordinates:
Te 0.0000 0.1407 0.0000 x2
Te 0.0000 0.3513 0.4597 x2
Te 0.0000 0.6995 0.2282 x2
Te 0.0000 0.7922 0.7685 x2
W 0.0000 0.3986 0.8575 x2
W 0.0000 0.9577 0.3707 x2

Top 12 peaks for 2θ = 10–90°, by intensity:
Position (°2θ), intensity
11.47, 100
31.43, 37
34.07, 35
41.54, 23
40.13, 14
36.70, 14
33.20, 11
52.31, 10
43.46, 10
28.76, 9
46.09, 9
15.11, 8

---

No. 10
Structure and computed powder diffraction line list of Te2W (a crystal structure in the Materials Project, relaxed with GGA-PBE; Cu Ka).
No peak broadening, texture or thermal motion is included.

Crystal structure
a b c (Å): 3.5566 3.5566 25.0541
angles (deg): 90.00 90.00 120.00
Space group P-3m1 (No. 164)
Inequivalent atoms, fractional coordinates:
Te 0.3333 0.6667 0.0780 x2
Te 0.3333 0.6667 0.2230 x2
W 0.3333 0.6667 0.8495 x2

Top 12 peaks for 2θ = 10–90°, by intensity:
Position (°2θ), intensity
10.59, 100
34.17, 70
41.10, 52
28.99, 28
36.24, 28
51.38, 23
43.84, 20
29.21, 18
32.39, 17
72.30, 14
51.52, 14
30.94, 14

---

No. 11
Structure and computed powder diffraction line list of Te2W (a crystal structure in the Materials Project, relaxed with GGA-PBE; Cu Ka).
No peak broadening, texture or thermal motion is included.

Crystal structure
a b c (Å): 3.5571 3.5571 40.1392
angles (deg): 90.00 90.00 120.00
Space group P-3m1 (No. 164)
Inequivalent atoms, fractional coordinates:
Te 0.3333 0.6667 0.2365 x2
Te 0.3333 0.6667 0.3271 x2
Te 0.3333 0.6667 0.8608 x2
Te 0.3333 0.6667 0.9513 x2
W 0.3333 0.6667 0.0939 x2
W 0.3333 0.6667 0.7182 x2

Top 12 peaks for 2θ = 10–90°, by intensity:
Position (°2θ), intensity
11.02, 100
34.15, 94
41.40, 61
28.99, 38
51.38, 37
43.10, 20
72.61, 18
63.14, 16
13.23, 15
31.10, 14
68.02, 14
85.64, 14